For P3Au2, the PBE geometry in OQMD gives the simulated PXRD pattern in this record (Cu Kα).
Kinematic intensities with the Lorentz-polarization factor, no thermal factor.

Structure:
```
P3Au2
1.0
2.965 -7.303 0.000
2.965 7.303 0.000
-1.489 0.000 4.505
P Au
6 4
direct
0.051 0.293 0.181 P
0.184 0.184 0.474 P
0.293 0.051 0.181 P
0.707 0.949 0.819 P
0.816 0.816 0.526 P
0.949 0.707 0.819 P
0.000 0.500 0.500 Au
0.392 0.608 0.000 Au
0.500 0.000 0.500 Au
0.608 0.392 0.000 Au
```

Most intense lines, 2θ = 10–90°, most intense first:
d/Å, I (rel.)
2.837, 100
2.817, 54
3.835, 48
1.827, 46
2.229, 36
7.303, 33
5.253, 31
2.627, 27